# 1
This entry pairs a crystal structure of Na with its computed X-ray powder pattern. Radiation: Cu Ka. Structure: DFT lattice parameters and positions (GGA-PBE).

Structural model:
Cell: 4.1726 4.1726 4.1726 Å, 90.00 90.00 90.00°
Space group Im-3m (No. 229)
Inequivalent atoms, fractional coordinates:
Na 0.0000 0.0000 0.0000 (multiplicity 2)

Most intense lines, 5° ≤ 2θ ≤ 70°, by angle:
| Position (°2θ) | I/Imax |
| --- | --- |
| 30.29 | 100 |
| 43.37 | 18 |
| 53.82 | 35 |
| 63.01 | 10 |

=====

# 2
This entry pairs a crystal structure of Na with its computed X-ray powder pattern. Radiation: Cu Ka. Structure: DFT lattice parameters and positions (GGA-PBE).

Structural model:
Cell: 8.3878 8.3878 8.3878 Å, 90.00 90.00 90.00°
Space group I-43d (No. 220)
Inequivalent atoms, fractional coordinates:
Na 0.0265 0.0265 0.0265 (multiplicity 16)

Most intense lines, 5° ≤ 2θ ≤ 70°, by angle:
| Position (°2θ) | I/Imax |
| --- | --- |
| 26.02 | 10 |
| 30.14 | 100 |
| 33.79 | 17 |
| 40.23 | 6 |
| 43.14 | 14 |
| 51.07 | 9 |
| 53.52 | 22 |
| 55.89 | 11 |
| 60.45 | 10 |
| 64.81 | 5 |

=====

# 3
This entry pairs a crystal structure of Na with its computed X-ray powder pattern. Radiation: Cu Ka. Structure: DFT lattice parameters and positions (GGA-PBE).

Structural model:
Cell: 13.0218 13.0218 13.0218 Å, 90.00 90.00 90.00°
Space group I-43m (No. 217)
Inequivalent atoms, fractional coordinates:
Na 0.0000 0.0000 0.0000 (multiplicity 2)
Na 0.0430 0.3608 0.6392 (multiplicity 24)
Na 0.0917 0.0917 0.7187 (multiplicity 24)
Na 0.1821 0.1821 0.1821 (multiplicity 8)

Most intense lines, 5° ≤ 2θ ≤ 70°, by angle:
| Position (°2θ) | I/Imax |
| --- | --- |
| 27.40 | 7 |
| 29.09 | 100 |
| 32.24 | 30 |
| 33.72 | 11 |
| 35.14 | 15 |
| 48.43 | 6 |
| 49.50 | 10 |
| 51.58 | 27 |
| 55.57 | 5 |
| 60.31 | 8 |

=====

# 4
This entry pairs a crystal structure of NaNb3 with its computed X-ray powder pattern. Radiation: Cu Ka. Structure: DFT lattice parameters and positions (GGA-PBE).

Structural model:
Cell: 6.7188 6.7188 6.7188 Å, 90.00 90.00 90.00°
Space group Fm-3m (No. 225)
Inequivalent atoms, fractional coordinates:
Na 0.0000 0.0000 0.0000 (multiplicity 4)
Nb 0.0000 0.0000 0.5000 (multiplicity 4)
Nb 0.2500 0.2500 0.2500 (multiplicity 8)

Most intense lines, 5° ≤ 2θ ≤ 70°, by angle:
| Position (°2θ) | I/Imax |
| --- | --- |
| 22.93 | 13 |
| 26.53 | 7 |
| 37.87 | 100 |
| 44.74 | 6 |
| 46.84 | 2 |
| 54.64 | 17 |
| 60.02 | 3 |
| 61.75 | 2 |
| 68.40 | 33 |

=====

# 5
This entry pairs a crystal structure of Na7NbO6 with its computed X-ray powder pattern. Radiation: Cu Ka. Structure: DFT lattice parameters and positions (GGA-PBE).

Structural model:
Cell: 6.4791 6.4791 15.7155 Å, 90.00 90.00 120.00°
Space group R3 (No. 146, hexagonal axes)
Inequivalent atoms, fractional coordinates:
Na 0.0000 0.0000 0.0000 (multiplicity 3)
Na 0.0664 0.3425 0.8808 (multiplicity 9)
Na 0.0762 0.6852 0.0948 (multiplicity 9)
Nb 0.0000 0.0000 0.6537 (multiplicity 3)
O 0.0036 0.7412 0.5807 (multiplicity 9)
O 0.0375 0.2872 0.7285 (multiplicity 9)

Most intense lines, 5° ≤ 2θ ≤ 70°, by angle:
| Position (°2θ) | I/Imax |
| --- | --- |
| 16.78 | 93 |
| 16.93 | 20 |
| 19.44 | 64 |
| 27.72 | 30 |
| 32.48 | 100 |
| 32.66 | 26 |
| 43.04 | 26 |
| 44.24 | 30 |
| 44.48 | 77 |
| 48.68 | 37 |

=====

# 6
This entry pairs a crystal structure of Na3Nb6O11 with its computed X-ray powder pattern. Radiation: Cu Ka. Structure: DFT lattice parameters and positions (GGA-PBE).

Structural model:
Cell: 6.2124 6.2124 8.0599 Å, 90.00 90.00 120.00°
Space group P-3m1 (No. 164)
Inequivalent atoms, fractional coordinates:
Na 0.0000 0.0000 0.0000 (multiplicity 1)
Na 0.3333 0.6667 0.0715 (multiplicity 2)
Nb 0.1576 0.3152 0.6469 (multiplicity 6)
O 0.0000 0.5000 0.5000 (multiplicity 3)
O 0.1511 0.3023 0.2094 (multiplicity 6)
O 0.3333 0.6667 0.7809 (multiplicity 2)

Most intense lines, 5° ≤ 2θ ≤ 70°, by angle:
| Position (°2θ) | I/Imax |
| --- | --- |
| 10.98 | 100 |
| 16.48 | 23 |
| 19.84 | 25 |
| 27.66 | 26 |
| 30.85 | 23 |
| 33.32 | 36 |
| 35.17 | 42 |
| 40.31 | 76 |
| 47.85 | 25 |
| 59.52 | 25 |

=====

# 7
This entry pairs a crystal structure of Na12NbO7 with its computed X-ray powder pattern. Radiation: Cu Ka. Structure: DFT lattice parameters and positions (GGA-PBE).

Structural model:
Cell: 12.0244 12.0244 8.6789 Å, 90.00 90.00 120.00°
Space group R-3 (No. 148, hexagonal axes)
Inequivalent atoms, fractional coordinates:
Na 0.0268 0.4455 0.1500 (multiplicity 18)
Na 0.0462 0.8914 0.8212 (multiplicity 18)
Nb 0.0000 0.0000 0.5000 (multiplicity 3)
O 0.0000 0.0000 0.0000 (multiplicity 3)
O 0.0407 0.8822 0.3642 (multiplicity 18)

Most intense lines, 5° ≤ 2θ ≤ 70°, by angle:
| Position (°2θ) | I/Imax |
| --- | --- |
| 13.28 | 74 |
| 14.73 | 100 |
| 24.84 | 9 |
| 30.91 | 18 |
| 32.68 | 42 |
| 37.40 | 94 |
| 52.77 | 31 |
| 55.07 | 24 |
| 64.48 | 15 |
| 68.48 | 10 |

=====

# 8
This entry pairs a crystal structure of Na5NbO5 with its computed X-ray powder pattern. Radiation: Cu Ka. Structure: DFT lattice parameters and positions (GGA-PBE).

Structural model:
Cell: 6.3650 10.3622 10.1412 Å, 90.00 106.51 90.00°
Space group C2/c (No. 15)
Inequivalent atoms, fractional coordinates:
Na 0.0000 0.1675 0.2500 (multiplicity 4)
Na 0.1625 0.3413 0.0771 (multiplicity 8)
Na 0.1704 0.1140 0.5508 (multiplicity 8)
Nb 0.0000 0.4076 0.7500 (multiplicity 4)
O 0.0000 0.4070 0.2500 (multiplicity 4)
O 0.1330 0.3286 0.6188 (multiplicity 8)
O 0.2032 0.1074 0.1040 (multiplicity 8)

Most intense lines, 5° ≤ 2θ ≤ 70°, by angle:
| Position (°2θ) | I/Imax |
| --- | --- |
| 16.86 | 98 |
| 19.41 | 100 |
| 21.64 | 87 |
| 29.85 | 26 |
| 32.59 | 43 |
| 33.04 | 46 |
| 34.62 | 60 |
| 39.06 | 69 |
| 40.34 | 50 |
| 48.41 | 41 |

=====

# 9
This entry pairs a crystal structure of NaNb14O36 with its computed X-ray powder pattern. Radiation: Cu Ka. Structure: DFT lattice parameters and positions (GGA-PBE).

Structural model:
Cell: 3.8839 14.5081 26.7316 Å, 90.00 90.00 90.00°
Space group Immm (No. 71)
Inequivalent atoms, fractional coordinates:
Na 0.0000 0.0000 0.0000 (multiplicity 2)
Nb 0.0000 0.0000 0.1882 (multiplicity 4)
Nb 0.0000 0.0000 0.3944 (multiplicity 4)
Nb 0.0000 0.1829 0.5000 (multiplicity 4)
Nb 0.0000 0.1944 0.2929 (multiplicity 8)
Nb 0.0000 0.3803 0.3980 (multiplicity 8)
O 0.0000 0.0964 0.2315 (multiplicity 8)
O 0.0000 0.0976 0.1171 (multiplicity 8)
O 0.0000 0.0986 0.3377 (multiplicity 8)
O 0.0000 0.0986 0.4448 (multiplicity 8)
O 0.0000 0.2922 0.2258 (multiplicity 8)
O 0.0000 0.2927 0.3397 (multiplicity 8)
O 0.0000 0.2983 0.0000 (multiplicity 4)
O 0.0000 0.2983 0.4488 (multiplicity 8)
O 0.0000 0.5000 0.1141 (multiplicity 4)
O 0.0000 0.5000 0.3359 (multiplicity 4)
O 0.0000 0.5000 0.4379 (multiplicity 4)

Most intense lines, 5° ≤ 2θ ≤ 70°, by angle:
| Position (°2θ) | I/Imax |
| --- | --- |
| 18.05 | 44 |
| 23.14 | 48 |
| 24.83 | 100 |
| 31.01 | 47 |
| 32.46 | 22 |
| 43.61 | 29 |
| 46.78 | 21 |
| 52.14 | 30 |
| 53.67 | 22 |
| 58.78 | 24 |

=====

# 10
This entry pairs a crystal structure of NaNb4P6O24 with its computed X-ray powder pattern. Radiation: Cu Ka. Structure: DFT lattice parameters and positions (GGA-PBE).

Structural model:
Cell: 8.8824 8.8824 22.3360 Å, 90.00 90.00 120.00°
Space group R-3 (No. 148, hexagonal axes)
Inequivalent atoms, fractional coordinates:
Na 0.0000 0.0000 0.0000 (multiplicity 3)
Nb 0.0000 0.0000 0.1453 (multiplicity 6)
Nb 0.0000 0.0000 0.3585 (multiplicity 6)
P 0.0008 0.7120 0.7493 (multiplicity 18)
O 0.0188 0.2005 0.1939 (multiplicity 18)
O 0.0200 0.8230 0.6936 (multiplicity 18)
O 0.0255 0.1950 0.9134 (multiplicity 18)
O 0.0258 0.8284 0.4105 (multiplicity 18)

Most intense lines, 5° ≤ 2θ ≤ 70°, by angle:
| Position (°2θ) | I/Imax |
| --- | --- |
| 13.98 | 39 |
| 19.65 | 100 |
| 19.99 | 94 |
| 23.32 | 87 |
| 28.17 | 64 |
| 31.35 | 67 |
| 34.79 | 29 |
| 34.99 | 38 |
| 51.59 | 29 |
| 54.68 | 28 |